For Rb4TiO4, a crystal structure in Alexandria, relaxed with GGA-PBE gives the computed powder X-ray diffraction pattern in this record (Cu Kα (weighted mean of Kα1 and Kα2)).
Lines closer than 0.1° are merged.

Most intense lines, 2θ = 10–80°, in order of falling intensity:
- 3.153 Å, 28.3°, I 100
- 3.051 Å, 29.3°, I 79
- 2.588 Å, 34.7°, I 48
- 2.569 Å, 34.9°, I 37
- 3.169 Å, 28.2°, I 36
- 3.303 Å, 27.0°, I 20
- 1.798 Å, 50.8°, I 18
- 1.945 Å, 46.7°, I 18
- 1.779 Å, 51.4°, I 15
- 2.078 Å, 43.6°, I 14

Structural model:
```
Rb4TiO4
1.0
11.144 0.000 0.000
0.000 6.975 0.000
-4.121 0.000 10.449
Rb Ti O
16 4 16
direct
0.058 0.086 0.194
0.058 0.414 0.694
0.162 0.606 0.086
0.162 0.894 0.586
0.367 0.667 0.891
0.367 0.833 0.391
0.428 0.194 0.796
0.428 0.306 0.296
0.572 0.694 0.704
0.572 0.806 0.204
0.633 0.167 0.609
0.633 0.333 0.109
0.838 0.106 0.414
0.838 0.394 0.914
0.942 0.586 0.306
0.942 0.914 0.806
0.243 0.133 0.992
0.243 0.367 0.492
0.757 0.633 0.508
0.757 0.867 0.008
0.085 0.237 0.972
0.085 0.263 0.472
0.226 0.001 0.844
0.226 0.499 0.344
0.300 0.527 0.635
0.300 0.973 0.135
0.361 0.169 0.519
0.361 0.331 0.019
0.639 0.669 0.981
0.639 0.831 0.481
0.700 0.027 0.865
0.700 0.473 0.365
0.774 0.501 0.656
0.774 0.999 0.156
0.915 0.737 0.528
0.915 0.763 0.028
```

For RbTmTi2O6, a crystal structure in Alexandria, relaxed with GGA-PBE gives the computed powder X-ray diffraction pattern in this record (Cu Kα (weighted mean of Kα1 and Kα2)).
Lines closer than 0.1° are merged.

Most intense lines, 2θ = 10–80°, in order of falling intensity:
- 4.361 Å, 20.4°, I 100
- 3.416 Å, 26.1°, I 86
- 5.565 Å, 15.9°, I 70
- 2.955 Å, 30.2°, I 70
- 3.695 Å, 24.1°, I 65
- 3.051 Å, 29.3°, I 52
- 3.551 Å, 25.1°, I 46
- 3.186 Å, 28.0°, I 41
- 4.320 Å, 20.6°, I 38
- 2.520 Å, 35.6°, I 38

Structural model:
```
RbTmTi2O6
1.0
4.721 -6.119 0.000
4.721 6.119 0.000
-2.529 0.000 6.101
Rb Tm Ti O
2 2 4 12
direct
0.107 0.893 0.750
0.893 0.107 0.250
0.208 0.792 0.250
0.792 0.208 0.750
0.289 0.432 0.838
0.432 0.289 0.338
0.568 0.711 0.662
0.711 0.568 0.162
0.063 0.244 0.720
0.212 0.623 0.951
0.244 0.063 0.220
0.355 0.414 0.564
0.377 0.788 0.549
0.414 0.355 0.064
0.586 0.645 0.936
0.623 0.212 0.451
0.645 0.586 0.436
0.756 0.937 0.780
0.788 0.377 0.049
0.937 0.756 0.280
```